[1]
# ReS2
Theoretical powder X-ray diffraction pattern, copper Kα. Input: the GGA-PBE geometry in the Materials Project.
Neutral-atom scattering factors, no anomalous dispersion.

The 10 most intense peaks (15 to 90 degrees two-theta), most intense first:
two_theta  intensity  (hkl)
37.6  100  0 1 1
35.5  77  1 0 0
43.4  70  0 1 2
51.8  66  1 0 3
24.0  30  0 0 2
62.2  23  1 0 4
36.4  23  0 0 3
65.2  21  1 1 1
63.8  21  1 1 0
75.7  16  1 1 3

Structural model:
Lattice parameters (Å, degrees): 2.9177 2.9177 7.4051 90.00 90.00 120.00
Space group P3m1 (No. 156)
Symmetry-distinct sites (fractional):
Re1 0.0000 0.0000 0.0000 x1
S1 0.0000 0.0000 0.3148 x1
S2 0.6667 0.3333 0.7839 x1


[2]
# ReS2
Theoretical powder X-ray diffraction pattern, copper Kα. Input: the GGA-PBE geometry in the Materials Project.
Neutral-atom scattering factors, no anomalous dispersion.

The 10 most intense peaks (15 to 90 degrees two-theta), most intense first:
two_theta  intensity  (hkl)
36.7  100  2 -2 1
36.1  47  2 0 -2
32.4  37  2 -2 0
26.5  37  0 0 2
31.8  34  0 2 0
32.0  32  2 0 -1
45.5  27  0 2 2
44.4  26  2 0 -3
45.1  23  2 -2 2
15.7  22  0 1 0

Structural model:
Lattice parameters (Å, degrees): 6.419 6.523 7.045 91.78 103.97 118.84
Space group P-1 (No. 2)
Symmetry-distinct sites (fractional):
Re1 0.013 0.214 0.002 x2
Re2 0.442 0.189 0.008 x2
S1 0.231 0.848 0.767 x2
S2 0.241 0.113 0.260 x2
S3 0.248 0.633 0.176 x2
S4 0.280 0.392 0.799 x2


[3]
# ReTeS
Theoretical powder X-ray diffraction pattern, copper Kα. Input: the GGA-PBE geometry in the Materials Project.
Neutral-atom scattering factors, no anomalous dispersion.

The 10 most intense peaks (15 to 90 degrees two-theta), most intense first:
two_theta  intensity  (hkl)
15.1  100  1 1 1
35.2  89  4 0 0
29.1  54  3 1 1
38.5  53  3 3 1
50.7  50  4 4 0
46.3  42  3 3 3
43.5  30  4 2 2
65.4  21  5 5 1
71.0  19  7 3 1
17.4  18  2 0 0

Structural model:
Lattice parameters (Å, degrees): 10.193 10.193 10.193 90.00 90.00 90.00
Space group F-43m (No. 216)
Symmetry-distinct sites (fractional):
Re1 0.098 0.098 0.098 x16
Te1 0.128 0.128 0.372 x16
S1 0.129 0.129 0.871 x16